# 1
This entry pairs a crystal structure of Nb2Tl5S4Br9 with its theoretical X-ray diffraction stick pattern. Radiation: Cu Kα (weighted mean of Kα1 and Kα2). Structure: a PBE-relaxed structure.
No peak broadening, texture or thermal motion is included.

Top 10 peaks for 2θ = 10–90°, by angle:
20.31°, rel. 95, hkl 1 0 3; 21.68°, rel. 44, hkl 1 2 1; 24.08°, rel. 62, hkl 2 0 0; 27.88°, rel. 77, hkl 0 2 4; 29.71°, rel. 51, hkl 2 2 0; 30.72°, rel. 71, hkl 0 3 3; 31.72°, rel. 100, hkl 2 2 2; 34.72°, rel. 61, hkl 0 4 0; 37.82°, rel. 55, hkl 2 1 5; 44.18°, rel. 40, hkl 1 3 6

Cell and atoms:
```
data_Nb2Tl5S4Br9
_chemical_formula_sum 'Nb4 Tl10 S8 Br18'
_cell_length_a 7.3924
_cell_length_b 10.3377
_cell_length_c 16.2960
_cell_angle_alpha 90.00
_cell_angle_beta 90.00
_cell_angle_gamma 90.00
_space_group_name_H-M_alt 'I m m m'
_space_group_IT_number 71
_space_group_name_Hall '-I 2 2'
loop_
_atom_site_label
_atom_site_fract_x
_atom_site_fract_y
_atom_site_fract_z
Nb1 0.0000 0.0000 0.0893
Tl1 0.0000 0.2138 0.3324
Tl2 0.0000 0.5000 0.0000
S1 0.2411 0.0976 0.0000
Br1 0.0000 0.0000 0.5000
Br2 0.0000 0.2622 0.1335
Br3 0.2472 0.0000 0.2123
```



# 2
This entry pairs a crystal structure of Nb3Se5Br7 with its theoretical X-ray diffraction stick pattern. Radiation: Cu Kα (weighted mean of Kα1 and Kα2). Structure: a PBE-relaxed structure.
No peak broadening, texture or thermal motion is included.

Top 10 peaks for 2θ = 10–90°, by angle:
10.50°, rel. 18, hkl 0 0 1; 10.98°, rel. 19, hkl 1 0 0; 12.63°, rel. 100, hkl 1 0 -1; 17.42°, rel. 35, hkl 1 0 1; 29.53°, rel. 26, hkl 2 3 -1; 30.10°, rel. 58, hkl 2 3 0; 32.63°, rel. 32, hkl 0 1 3; 34.69°, rel. 25, hkl 2 4 -1; 40.98°, rel. 19, hkl 2 3 2; 42.81°, rel. 20, hkl 4 0 -1

Cell and atoms:
```
data_Nb3Se5Br7
_chemical_formula_sum 'Nb6 Se10 Br14'
_cell_length_a 8.4731
_cell_length_b 13.1793
_cell_length_c 8.8588
_cell_angle_alpha 90.00
_cell_angle_beta 108.07
_cell_angle_gamma 90.00
_space_group_name_H-M_alt 'P 1 21/m 1'
_space_group_IT_number 11
loop_
_space_group_symop_operation_xyz
'x,y,z'
'-x,-y,-z'
'-x,y+1/2,-z'
'x,-y+1/2,z'
loop_
_atom_site_label
_atom_site_fract_x
_atom_site_fract_y
_atom_site_fract_z
Nb1 0.0224 0.1072 0.0555
Nb2 0.3942 0.2500 0.4715
Se1 0.1685 0.0252 0.8598
Se2 0.2629 0.5298 0.1214
Se3 0.4138 0.2500 0.7357
Br1 0.0583 0.7500 0.1879
Br2 0.1439 0.1133 0.3899
Br3 0.1730 0.7500 0.8641
Br4 0.2797 0.2500 0.1202
Br5 0.4093 0.6144 0.5504
```



# 3
This entry pairs a crystal structure of Nb2Se5Br with its theoretical X-ray diffraction stick pattern. Radiation: Cu Kα (weighted mean of Kα1 and Kα2). Structure: a PBE-relaxed structure.
No peak broadening, texture or thermal motion is included.

Top 10 peaks for 2θ = 10–90°, by angle:
13.07°, rel. 29, hkl 0 0 2; 23.94°, rel. 29, hkl 0 1 3; 24.66°, rel. 25, hkl 1 1 0; 28.01°, rel. 24, hkl 1 1 2; 28.57°, rel. 54, hkl 1 0 3; 35.01°, rel. 100, hkl 1 2 1; 38.24°, rel. 36, hkl 0 2 4; 39.91°, rel. 83, hkl 0 0 6; 41.75°, rel. 44, hkl 2 0 0; 48.42°, rel. 55, hkl 1 2 5

Cell and atoms:
```
data_Nb2Se5Br
_chemical_formula_sum 'Nb4 Se10 Br2'
_cell_length_a 4.3269
_cell_length_b 6.5454
_cell_length_c 13.5466
_cell_angle_alpha 90.00
_cell_angle_beta 90.00
_cell_angle_gamma 90.00
_space_group_name_H-M_alt 'I m m m'
_space_group_IT_number 71
_space_group_name_Hall '-I 2 2'
loop_
_atom_site_label
_atom_site_fract_x
_atom_site_fract_y
_atom_site_fract_z
Nb1 0.0000 0.0000 0.1938
Se1 0.0000 0.0000 0.0000
Se2 0.0000 0.2566 0.3379
Br1 0.0000 0.5000 0.0000
```



# 4
This entry pairs a crystal structure of TaNb3Br9 with its theoretical X-ray diffraction stick pattern. Radiation: Cu Kα (weighted mean of Kα1 and Kα2). Structure: a PBE-relaxed structure.
No peak broadening, texture or thermal motion is included.

Top 10 peaks for 2θ = 10–90°, by angle:
12.01°, rel. 57, hkl 1 0 0; 13.18°, rel. 61, hkl 0 0 2; 14.07°, rel. 100, hkl -1 1 1; 14.90°, rel. 50, hkl 0 1 1; 15.37°, rel. 39, hkl 0 1 -2; 32.62°, rel. 33, hkl 2 -1 3; 35.96°, rel. 26, hkl 0 3 0; 36.56°, rel. 29, hkl 1 -1 5; 38.67°, rel. 24, hkl 1 1 4; 43.14°, rel. 31, hkl -3 3 3

Cell and atoms:
```
data_TaNb3Br9
_chemical_formula_sum 'Ta2 Nb6 Br18'
_cell_length_a 8.3505
_cell_length_b 8.3549
_cell_length_c 14.2375
_cell_angle_alpha 98.01
_cell_angle_beta 103.06
_cell_angle_gamma 112.16
_space_group_name_H-M_alt 'P 1'
_space_group_IT_number 1
loop_
_space_group_symop_operation_xyz
'x,y,z'
loop_
_atom_site_label
_atom_site_fract_x
_atom_site_fract_y
_atom_site_fract_z
Ta1 0.0000 0.0000 0.0000
Ta2 0.3510 0.8513 0.4999
Nb1 0.0530 0.3200 0.0234
Nb2 0.0542 0.8214 0.5235
Nb3 0.2012 0.5775 0.6128
Nb4 0.3865 0.2626 0.1127
Nb5 0.6788 0.5458 0.1854
Nb6 0.9908 0.3578 0.6853
Br1 0.0662 0.5289 0.4199
Br2 0.0934 0.1816 0.5616
Br3 0.1192 0.2071 0.1952
Br4 0.2422 0.2048 0.9198
Br5 0.2628 0.9053 0.0662
Br6 0.2843 0.9176 0.3364
Br7 0.3390 0.9271 0.6953
Br8 0.3397 0.5212 0.7851
Br9 0.3703 0.5864 0.1402
Br10 0.5122 0.6549 0.5661
Br11 0.6151 0.2970 0.2852
Br12 0.6365 0.1645 0.5661
Br13 0.7313 0.3195 0.0616
Br14 0.7528 0.7806 0.0662
Br15 0.7696 0.9041 0.8369
Br16 0.7942 0.7925 0.3631
Br17 0.9046 0.6207 0.6403
Br18 0.9225 0.4204 0.8631
```